The following is a simulated X-ray powder pattern of Be4AsRu. It was derived from a structure optimized by DFT (GGA-PBE), using Cu Kα, 1.54184 Å.

Principal peaks in the range 2θ from 5° to 70°, in order of falling intensity:
24.77 deg, 3.594 Å, I 100.0; 41.01 deg, 2.201 Å, I 94.4; 48.51 deg, 1.877 Å, I 69.7; 65.35 deg, 1.428 Å, I 19.5; 59.39 deg, 1.556 Å, I 11.8; 28.68 deg, 3.112 Å, I 2.5; 50.81 deg, 1.797 Å, I 1.2; 67.27 deg, 1.392 Å, I 0.9

Atomic structure:
Cell lengths 4.4015, 4.4015, 4.4015 Å; angles 60.00, 60.00, 60.00 degrees
Positions (direct):
Be1 0.1235 0.1235 0.1235
Be2 0.1235 0.1235 0.6294
Be3 0.1235 0.6294 0.1235
Be4 0.6294 0.1235 0.1235
As1 0.5000 0.5000 0.5000
Ru1 0.7500 0.7500 0.7500

The following is a simulated X-ray powder pattern of TlSn6Au4. It was derived from a structure optimized by DFT (GGA-PBE), using Cu Kα, 1.54184 Å.

Principal peaks in the range 2θ from 5° to 70°, in order of falling intensity:
41.69 deg, 2.166 Å, I 100.0; 24.18 deg, 3.681 Å, I 70.5; 28.90 deg, 3.090 Å, I 67.0; 33.30 deg, 2.690 Å, I 60.5; 33.52 deg, 2.673 Å, I 59.5; 42.81 deg, 2.112 Å, I 55.2; 42.96 deg, 2.105 Å, I 53.4; 36.63 deg, 2.453 Å, I 49.4; 39.32 deg, 2.292 Å, I 37.0; 23.46 deg, 3.793 Å, I 36.2

Atomic structure:
Cell lengths 7.3715, 7.3715, 7.3777 Å; angles 118.10, 118.10, 92.99 degrees
Positions (direct):
Tl1 0.0000 0.0000 0.0000
Sn1 0.0003 0.5001 0.4972
Sn2 0.1940 0.1940 0.7173
Sn3 0.4791 0.4791 0.2849
Sn4 0.5001 0.0003 0.4972
Sn5 0.5242 0.8078 0.0006
Sn6 0.8078 0.5242 0.0006
Au1 0.1653 0.6306 0.9982
Au2 0.3712 0.3712 0.5359
Au3 0.6306 0.1653 0.9982
Au4 0.8371 0.8371 0.4662